This entry pairs a crystal structure of CsIn6Ag8 with its theoretical powder X-ray diffraction pattern. Radiation: Cu Ka. Structure: a DFT-relaxed cell (GGA-PBE, Alexandria).
No peak broadening, texture or thermal motion is included.

Largest 8 diffraction maxima, most intense first, 2θ from 5° to 70°:
Position (°2θ)  I/Imax
39.55  100
31.38  89
35.12  79
39.12  64
32.89  60
38.41  55
30.35  46
67.77  40

```
CsIn6Ag8
1.0
4.4254 2.5550 5.3157
-4.4254 2.5550 5.3157
0.0000 -5.1100 5.3157
Cs In Ag
1 6 8
Cartesian
0.0000 0.0000 0.0000
-1.8081 0.0920 5.8943
0.8244 -1.6119 5.8943
-0.9837 -1.5199 10.0526
0.9837 1.5199 5.8943
-0.8244 1.6119 10.0526
1.8081 -0.0920 10.0526
-1.5395 -2.6165 7.5007
-3.0357 0.0250 8.4462
0.0000 0.0000 3.4710
-1.4962 2.6415 7.5007
1.4962 -2.6415 8.4462
0.0000 0.0000 12.4760
3.0357 -0.0250 7.5007
1.5395 2.6165 8.4462
```